# 1
Diffraction record for H2Se. The powder diffraction line list is theoretical, not measured: it uses DFT lattice parameters and positions (GGA-PBE) and Cu Kα, 1.54184 Å.

The 8 most intense peaks (10° ≤ 2θ ≤ 90°), sorted by position:
2theta	Rel. int.
31.61	100
36.66	46
52.81	36
62.87	40
66.01	11
77.95	6
86.53	17
89.37	16

Structure:
```
H2Se
1.0
0.0000 2.4514 2.4514
2.4514 0.0000 2.4514
2.4514 2.4514 0.0000
H Se
2 1
Cartesian
1.2257 1.2257 1.2257
3.6772 3.6772 3.6772
0.0000 0.0000 0.0000
```

***

# 2
Diffraction record for TbHSe. The powder diffraction line list is theoretical, not measured: it uses DFT lattice parameters and positions (GGA-PBE) and Cu Kα, 1.54184 Å.

The 10 most intense peaks (10° ≤ 2θ ≤ 90°), sorted by position:
2theta	Rel. int.
22.66	7
26.64	43
35.25	100
46.26	10
47.04	29
54.18	12
60.12	21
68.11	19
78.50	10
79.65	19

Structure:
```
TbHSe
1.0
3.8636 0.0000 0.0000
-1.9318 3.3460 0.0000
0.0000 0.0000 3.9248
Tb H Se
1 1 1
Cartesian
0.0000 0.0000 0.0000
0.0000 2.2307 0.0000
1.9318 1.1153 1.9624
```

***

# 3
Diffraction record for YHSe. The powder diffraction line list is theoretical, not measured: it uses DFT lattice parameters and positions (GGA-PBE) and Cu Kα, 1.54184 Å.

The 10 most intense peaks (10° ≤ 2θ ≤ 90°), sorted by position:
2theta	Rel. int.
26.72	34
35.31	100
46.26	10
47.18	29
54.23	9
60.28	20
68.22	19
78.54	9
79.89	18
87.76	5

Structure:
```
YHSe
1.0
3.8528 0.0000 0.0000
-1.9264 3.3366 0.0000
0.0000 0.0000 3.9247
Y H Se
1 1 1
Cartesian
0.0000 0.0000 0.0000
0.0000 2.2244 0.0000
1.9264 1.1122 1.9624
```

***

# 4
Diffraction record for SiH8. The powder diffraction line list is theoretical, not measured: it uses DFT lattice parameters and positions (GGA-PBE) and Cu Kα, 1.54184 Å.

The 10 most intense peaks (10° ≤ 2θ ≤ 90°), sorted by position:
2theta	Rel. int.
19.73	100
22.62	39
23.21	18
32.21	20
32.64	35
38.05	24
38.80	12
40.08	14
51.28	13
57.70	11

Structure:
```
SiH8
1.0
-2.7795 2.7795 3.8318
2.7795 -2.7795 3.8318
2.7795 2.7795 -3.8318
Si H
1 8
Cartesian
0.0000 0.0000 0.0000
2.7795 -1.5675 2.9618
1.2119 0.0000 0.8700
4.3470 0.0000 0.8699
0.0000 0.0000 3.4571
0.0000 0.0000 4.2064
2.7795 1.5675 2.9618
0.0000 2.7795 1.5401
0.0000 2.7795 2.2916
```

***

# 5
Diffraction record for SiH8. The powder diffraction line list is theoretical, not measured: it uses DFT lattice parameters and positions (GGA-PBE) and Cu Kα, 1.54184 Å.

The 10 most intense peaks (10° ≤ 2θ ≤ 90°), sorted by position:
2theta	Rel. int.
21.02	100
24.12	38
24.70	17
34.38	19
34.79	34
40.64	24
41.36	12
42.79	14
54.84	13
61.84	10

Structure:
```
SiH8
1.0
5.2216 0.0000 0.0000
0.0000 5.2135 0.0000
0.0000 0.0000 7.2098
Si H
2 16
Cartesian
0.0000 1.2892 0.0000
2.6108 3.9243 3.6049
0.0000 0.0693 6.3482
0.0000 1.1595 3.2808
0.0000 1.5038 3.9528
0.0000 2.5089 6.3491
0.0000 3.6950 2.1594
0.0000 3.9679 1.4642
1.2179 1.2891 0.8635
1.3929 3.9243 4.4684
2.6108 1.2456 5.0691
2.6108 1.5184 5.7643
2.6108 2.7045 2.7441
2.6108 3.7096 0.3479
2.6108 4.0539 6.8857
2.6108 5.1441 2.7433
3.8287 3.9243 4.4684
4.0037 1.2891 0.8635
```

***

# 6
Diffraction record for SiH4. The powder diffraction line list is theoretical, not measured: it uses DFT lattice parameters and positions (GGA-PBE) and Cu Kα, 1.54184 Å.

The 10 most intense peaks (10° ≤ 2θ ≤ 90°), sorted by position:
2theta	Rel. int.
21.22	77
22.94	51
23.97	100
25.76	37
29.17	28
29.95	19
34.31	12
38.57	17
40.36	13
48.70	14

Structure:
```
SiH4
1.0
7.6490 0.0000 0.0000
0.0000 5.0596 0.0000
-1.8194 0.0000 7.4753
Si H
4 16
Cartesian
1.2413 0.3755 2.7227
0.3316 2.1543 6.4604
5.4981 2.9053 1.0149
4.5884 4.6842 4.7525
0.2883 0.3654 1.5766
-0.6214 2.1644 5.3142
1.5329 2.8446 0.1551
0.6232 4.7448 3.8927
0.6561 0.7441 6.8302
1.5658 1.7857 3.0926
1.5856 2.8642 6.0685
2.4953 4.7253 2.3308
3.3343 0.3343 5.1444
4.2440 2.1955 1.4068
4.2638 3.2739 4.3827
5.1735 4.3155 0.6451
5.2064 0.3148 3.5825
4.2967 2.2150 7.3202
6.4510 2.8952 2.1611
5.5413 4.6942 5.8987
```